Hg2SeIBr: calculated XRD peak list (Cu Ka), based on a cell relaxed with GGA-PBE.
Neutral-atom scattering factors, no anomalous dispersion.

Principal peaks in the range 10 to 80 degrees two-theta, low angle first:
| Position (°2θ) | d [Å] | Rel. int. |
| --- | --- | --- |
| 12.6 | 7.046 | 65 |
| 15.6 | 5.663 | 48 |
| 23.4 | 3.808 | 64 |
| 24.3 | 3.662 | 100 |
| 25.3 | 3.524 | 31 |
| 29.0 | 3.077 | 62 |
| 31.5 | 2.841 | 43 |
| 37.4 | 2.402 | 52 |
| 40.5 | 2.229 | 40 |
| 48.3 | 1.883 | 42 |

Structure:
```
Hg2SeIBr
1.0
7.1311 -2.2294 0.0000
7.1311 2.2294 0.0000
-5.3080 0.0000 11.7007
Hg Se I Br
4 2 2 2
Direct
0.0448 0.0448 0.3715
0.3502 0.3502 0.1443
0.6498 0.6498 0.8557
0.9552 0.9552 0.6285
0.4585 0.4585 0.7475
0.5415 0.5415 0.2525
0.1662 0.1662 0.6109
0.8338 0.8338 0.3891
0.1562 0.1562 0.0501
0.8438 0.8438 0.9499
```



TlB4O7: calculated XRD peak list (Cu Ka), based on a cell relaxed with GGA-PBE.
Neutral-atom scattering factors, no anomalous dispersion.

Principal peaks in the range 10 to 80 degrees two-theta, low angle first:
| Position (°2θ) | d [Å] | Rel. int. |
| --- | --- | --- |
| 16.1 | 5.490 | 70 |
| 21.3 | 4.168 | 65 |
| 22.3 | 3.984 | 78 |
| 28.8 | 3.101 | 46 |
| 31.5 | 2.841 | 49 |
| 32.2 | 2.781 | 60 |
| 33.2 | 2.700 | 100 |
| 44.1 | 2.056 | 48 |
| 45.5 | 1.993 | 36 |
| 47.8 | 1.902 | 32 |

Structure:
```
TlB4O7
1.0
10.9805 0.0000 0.0000
0.0000 4.5052 0.0000
0.0000 0.0000 4.2758
Tl B O
2 8 14
Direct
0.0000 0.1824 0.0000
0.5000 0.8176 0.5000
0.1212 0.6749 0.4892
0.2485 0.8265 0.9647
0.2515 0.1735 0.4647
0.3788 0.3251 0.9892
0.6212 0.3251 0.9892
0.7485 0.1735 0.4647
0.7515 0.8265 0.9647
0.8788 0.6749 0.4892
0.0000 0.7575 0.3850
0.1369 0.7349 0.8211
0.1459 0.3622 0.4220
0.2177 0.8741 0.3164
0.2823 0.1259 0.8164
0.3541 0.6378 0.9220
0.3631 0.2651 0.3211
0.5000 0.2425 0.8850
0.6369 0.2651 0.3211
0.6459 0.6378 0.9220
0.7177 0.1259 0.8164
0.7823 0.8741 0.3164
0.8541 0.3622 0.4220
0.8631 0.7349 0.8211
```



Ba5Bi2HSe: calculated XRD peak list (Cu Ka), based on a cell relaxed with GGA-PBE.
Neutral-atom scattering factors, no anomalous dispersion.

Principal peaks in the range 10 to 80 degrees two-theta, low angle first:
| Position (°2θ) | d [Å] | Rel. int. |
| --- | --- | --- |
| 24.2 | 3.680 | 64 |
| 25.1 | 3.543 | 42 |
| 26.6 | 3.347 | 45 |
| 27.2 | 3.278 | 50 |
| 27.8 | 3.209 | 100 |
| 31.8 | 2.815 | 89 |
| 34.5 | 2.602 | 88 |
| 44.5 | 2.038 | 52 |
| 49.5 | 1.840 | 31 |
| 60.1 | 1.540 | 29 |

Structure:
```
Ba5Bi2HSe
1.0
5.2039 0.0000 0.0000
0.0000 5.2039 0.0000
0.0000 0.0000 13.1105
Ba Bi H Se
5 2 1 1
Direct
0.0000 0.0000 0.0000
0.0000 0.5000 0.5000
0.5000 0.0000 0.5000
0.5000 0.5000 0.2396
0.5000 0.5000 0.7604
0.0000 0.0000 0.2956
0.0000 0.0000 0.7044
0.5000 0.5000 0.5000
0.5000 0.5000 0.0000
```



Pm2PtS: calculated XRD peak list (Cu Ka), based on a cell relaxed with GGA-PBE.
Neutral-atom scattering factors, no anomalous dispersion.

Principal peaks in the range 10 to 80 degrees two-theta, low angle first:
| Position (°2θ) | d [Å] | Rel. int. |
| --- | --- | --- |
| 29.8 | 2.995 | 27 |
| 31.1 | 2.878 | 67 |
| 31.3 | 2.857 | 100 |
| 33.2 | 2.695 | 52 |
| 36.8 | 2.441 | 50 |
| 41.7 | 2.166 | 80 |
| 42.9 | 2.107 | 36 |
| 46.0 | 1.971 | 29 |
| 53.9 | 1.700 | 28 |
| 64.8 | 1.439 | 25 |

Structure:
```
Pm2PtS
1.0
3.9429 0.0000 0.0000
0.0000 23.0259 0.0000
0.0000 0.0000 4.2131
Pm Pt S
8 4 4
Direct
0.0000 0.0665 0.2500
0.0000 0.3141 0.2500
0.0000 0.6859 0.7500
0.0000 0.9335 0.7500
0.5000 0.1859 0.7500
0.5000 0.4335 0.7500
0.5000 0.5665 0.2500
0.5000 0.8141 0.2500
0.0000 0.4537 0.2500
0.0000 0.5463 0.7500
0.5000 0.0463 0.7500
0.5000 0.9537 0.2500
0.0000 0.1907 0.2500
0.0000 0.8093 0.7500
0.5000 0.3093 0.7500
0.5000 0.6907 0.2500
```